For Ba2AlFe2F11, a GGA+U-relaxed structure gives the simulated powder X-ray diffraction pattern in this record (Cu Kα, 1.54184 Å).

Structural model:
```
data_Ba2AlFe2F11
_symmetry_space_group_name_H-M 'P 1'
_symmetry_Int_Tables_number 1
_symmetry_space_group_name_Hall 'P 1'
_cell_length_a 7.449
_cell_length_b 7.449
_cell_length_c 14.537
_cell_angle_alpha 90.00
_cell_angle_beta 90.00
_cell_angle_gamma 120.00
loop_
_atom_site_label
_atom_site_type_symbol
_atom_site_fract_x
_atom_site_fract_y
_atom_site_fract_z
Ba1 Ba 0.143 0.015 0.000
Ba2 Ba 0.511 0.163 0.465
Ba3 Ba 0.651 0.489 0.799
Ba4 Ba 0.837 0.349 0.132
Ba5 Ba 0.872 0.857 0.333
Ba6 Ba 0.985 0.128 0.667
Al1 Al 0.178 0.502 0.875
Al2 Al 0.324 0.822 0.208
Al3 Al 0.498 0.676 0.542
Fe1 Fe 0.134 0.435 0.392
Fe2 Fe 0.301 0.866 0.725
Fe3 Fe 0.340 0.316 0.219
Fe4 Fe 0.565 0.699 0.058
Fe5 Fe 0.684 0.024 0.886
Fe6 Fe 0.976 0.660 0.553
F1 F 0.041 0.134 0.180
F2 F 0.055 0.756 0.191
F3 F 0.080 0.407 0.986
F4 F 0.093 0.959 0.514
F5 F 0.148 0.733 0.874
F6 F 0.220 0.543 0.247
F7 F 0.244 0.298 0.858
F8 F 0.254 0.244 0.358
F9 F 0.257 0.572 0.753
F10 F 0.267 0.415 0.541
F11 F 0.315 0.743 0.086
F12 F 0.323 0.780 0.580
F13 F 0.328 0.920 0.320
F14 F 0.358 0.155 0.693
F15 F 0.403 0.389 0.081
F16 F 0.423 0.087 0.163
F17 F 0.428 0.685 0.419
F18 F 0.457 0.677 0.913
F19 F 0.527 0.164 0.925
F20 F 0.585 0.852 0.208
F21 F 0.593 0.672 0.653
F22 F 0.611 0.015 0.748
F23 F 0.637 0.473 0.258
F24 F 0.665 0.577 0.496
F25 F 0.702 0.945 0.525
F26 F 0.756 0.010 0.024
F27 F 0.797 0.642 0.026
F28 F 0.836 0.363 0.592
F29 F 0.845 0.203 0.359
F30 F 0.866 0.907 0.847
F31 F 0.913 0.335 0.829
F32 F 0.985 0.597 0.415
F33 F 0.990 0.746 0.691
```

Most intense lines, 10° ≤ 2θ ≤ 90°, in order of rising 2θ:
- 22.95°, I = 100
- 24.67°, I = 78
- 26.90°, I = 90
- 28.18°, I = 67
- 28.34°, I = 69
- 30.30°, I = 62
- 38.96°, I = 72
- 48.91°, I = 47